(1)
# Ho5Er6Sc2
Computed powder diffractogram, Cu Kα (weighted mean of Kα1 and Kα2). Input: a cell relaxed with GGA-PBE.
No peak broadening, texture or thermal motion is included.

```
Ho5Er6Sc2
1.0
11.1597 0.0000 0.0000
0.0000 19.9318 0.0000
0.0000 0.0000 3.5188
Ho Er Sc
10 12 4
Cartesian
0.0000 0.0000 0.0000
0.6965 8.4139 0.0000
1.6016 14.3558 0.0000
3.9783 4.3899 0.0000
4.8833 18.3798 0.0000
5.5799 9.9659 0.0000
6.2764 1.5520 0.0000
7.1814 15.5418 0.0000
9.5582 5.5760 0.0000
10.4632 11.5179 0.0000
0.9093 3.0849 0.0000
1.8473 17.6108 1.7594
2.4340 11.0699 1.7594
3.1459 1.1041 1.7594
3.7325 7.6449 1.7594
4.6706 13.0508 0.0000
6.4891 6.8810 0.0000
7.4272 12.2868 1.7594
8.0138 18.8277 1.7594
8.7258 8.8618 1.7594
9.3124 2.3210 1.7594
10.2505 16.8468 0.0000
1.2926 5.7082 1.7594
4.2872 15.6741 1.7594
6.8725 4.2577 1.7594
9.8671 14.2235 1.7594
```

Main lines, by intensity (15° ≤ 2θ ≤ 90°):
2θ 32.97, I = 1000
2θ 30.00, I = 778
2θ 32.43, I = 761
2θ 32.15, I = 438
2θ 31.36, I = 327
2θ 34.91, I = 307
2θ 28.03, I = 306
2θ 62.61, I = 230

=====

(2)
# Na2Al9Pt3
Computed powder diffractogram, Cu Kα (weighted mean of Kα1 and Kα2). Input: a cell relaxed with GGA-PBE.
No peak broadening, texture or thermal motion is included.

```
Na2Al9Pt3
1.0
6.5557 -3.7843 0.0000
6.5557 3.7843 0.0000
-4.3894 0.0000 9.6337
Na Al Pt
4 18 6
Cartesian
1.1054 0.6343 2.4021
-1.0892 -0.6343 7.2189
9.8113 0.6343 2.4148
7.6166 -0.6343 7.2316
5.4590 3.1646 0.7049
5.4578 3.1646 4.1119
1.0841 0.6298 5.4945
4.0881 1.4178 2.4208
1.0776 0.6392 9.0172
3.2788 -0.6298 0.6777
3.2637 0.9647 7.2253
6.8286 1.4178 2.3960
3.2723 -0.6392 4.2003
5.4498 0.6392 5.4333
1.8934 -1.4178 7.2377
5.4584 -0.9647 2.4084
5.4433 0.6298 8.9560
7.6445 -0.6392 0.6165
4.6340 -1.4178 7.2128
7.6380 -0.6298 4.1391
3.2643 -3.1646 5.5218
3.2631 -3.1646 8.9287
3.2779 1.8922 0.0000
3.2474 1.9215 4.8138
7.6694 1.9215 0.0030
1.0832 -1.8922 4.8168
1.0527 -1.9215 9.6307
5.4747 -1.9215 4.8198
```

Main lines, by intensity (15° ≤ 2θ ≤ 90°):
2θ 23.51, I = 1000
2θ 30.04, I = 729
2θ 18.42, I = 699
2θ 45.59, I = 564
2θ 41.32, I = 543
2θ 44.59, I = 533
2θ 30.00, I = 368
2θ 51.92, I = 310

=====

(3)
# SiO2
Computed powder diffractogram, Cu Kα (weighted mean of Kα1 and Kα2). Input: a cell relaxed with GGA-PBE.
No peak broadening, texture or thermal motion is included.

```
SiO2
1.0
6.5843 0.0000 0.0000
0.0000 6.5843 0.0000
0.0000 0.0000 8.1944
Si O
8 16
Cartesian
0.2381 1.7098 3.2994
0.2381 4.8746 7.3966
1.7098 0.2381 0.7978
1.7098 6.3462 4.8950
4.8746 0.2381 4.8950
4.8746 6.3462 0.7978
6.3462 1.7098 7.3966
6.3462 4.8746 3.2994
0.0000 3.2922 3.1112
0.0000 3.2922 7.2084
1.1056 1.1056 2.0486
1.1056 5.4787 6.1458
1.1102 1.2821 4.6374
1.1102 5.3022 0.5402
1.2821 1.1102 7.6542
1.2821 5.4741 3.5570
3.2922 0.0000 0.9860
3.2922 0.0000 5.0832
5.3022 1.1102 3.5570
5.3022 5.4741 7.6542
5.4741 1.2821 0.5402
5.4741 5.3022 4.6374
5.4787 1.1056 6.1458
5.4787 5.4787 2.0486
```

Main lines, by intensity (15° ≤ 2θ ≤ 90°):
2θ 25.61, I = 1000
2θ 30.35, I = 583
2θ 34.96, I = 486
2θ 32.31, I = 168
2θ 68.00, I = 163
2θ 44.92, I = 148
2θ 21.69, I = 141
2θ 67.61, I = 113

=====

(4)
# V5S8
Computed powder diffractogram, Cu Kα (weighted mean of Kα1 and Kα2). Input: a cell relaxed with GGA-PBE.
No peak broadening, texture or thermal motion is included.

```
V5S8
1.0
5.6438 -3.3071 0.0000
5.6438 3.3071 0.0000
-5.4637 0.0000 5.6963
V S
5 8
Cartesian
0.0000 0.0000 0.0000
0.3326 0.0000 2.9003
2.9120 1.3541 2.8481
2.9120 -1.3541 2.8481
5.4913 0.0000 2.7959
-3.7008 0.0000 4.0365
-0.8510 1.6569 4.2872
3.8142 0.0000 1.2345
6.6749 1.6569 1.4090
-0.8510 -1.6569 4.2872
2.0097 0.0000 4.4617
6.6749 -1.6569 1.4090
9.5247 0.0000 1.6598
```

Main lines, by intensity (15° ≤ 2θ ≤ 90°):
2θ 35.41, I = 1000
2θ 15.56, I = 734
2θ 35.05, I = 458
2θ 45.35, I = 432
2θ 44.59, I = 429
2θ 56.28, I = 372
2θ 17.49, I = 276
2θ 44.49, I = 261

=====

(5)
# SrCdInNi
Computed powder diffractogram, Cu Kα (weighted mean of Kα1 and Kα2). Input: a cell relaxed with GGA-PBE.
No peak broadening, texture or thermal motion is included.

```
SrCdInNi
1.0
3.6469 0.0000 0.0000
0.0000 1.9009 7.2294
0.0000 -1.9009 7.2294
Sr Cd In Ni
1 1 1 1
Cartesian
0.0000 0.0000 0.0000
1.8235 0.0000 4.9910
1.8235 0.0000 9.6971
0.0000 0.0000 3.0000
```

Main lines, by intensity (15° ≤ 2θ ≤ 90°):
2θ 34.64, I = 1000
2θ 29.93, I = 960
2θ 34.95, I = 559
2θ 38.99, I = 529
2θ 46.67, I = 442
2θ 37.32, I = 411
2θ 27.39, I = 341
2θ 59.40, I = 264

=====

(6)
# Rb2GaIrO4
Computed powder diffractogram, Cu Kα (weighted mean of Kα1 and Kα2). Input: a cell relaxed with GGA-PBE.
No peak broadening, texture or thermal motion is included.

```
Rb2GaIrO4
1.0
0.0000 6.3058 9.5655
2.9502 0.0000 9.5655
2.9502 6.3058 0.0000
Rb Ga Ir O
4 2 2 8
Cartesian
2.2127 4.7294 1.0234
3.6878 7.8823 5.8062
2.2127 4.7294 13.3248
3.6878 7.8823 18.1075
2.2127 4.7294 7.1741
3.6878 7.8823 11.9568
0.7376 1.5765 2.3914
5.1629 11.0352 16.7396
3.6333 3.6861 6.4775
3.6333 5.7726 7.8707
5.1084 6.8390 12.6535
5.1084 8.9255 11.2602
0.7921 3.6861 7.8707
0.7921 5.7726 6.4775
2.2672 6.8390 11.2602
2.2672 8.9255 12.6535
```

Main lines, by intensity (15° ≤ 2θ ≤ 90°):
2θ 31.44, I = 1000
2θ 16.84, I = 871
2θ 33.54, I = 750
2θ 17.23, I = 748
2θ 18.55, I = 720
2θ 28.31, I = 585
2θ 51.18, I = 540
2θ 41.71, I = 419

=====

(7)
# Li4Pr2I9
Computed powder diffractogram, Cu Kα (weighted mean of Kα1 and Kα2). Input: a cell relaxed with GGA-PBE.
No peak broadening, texture or thermal motion is included.

```
Li4Pr2I9
1.0
7.7167 0.0000 0.0000
-3.8583 6.6828 0.0000
0.0000 0.0000 21.0725
Li Pr I
8 4 18
Cartesian
0.0000 4.4552 3.3459
0.0000 4.4552 10.2952
0.0000 4.4552 13.8822
0.0000 4.4552 20.8315
3.8583 2.2276 0.2411
3.8583 2.2276 7.1904
3.8583 2.2276 10.7773
3.8583 2.2276 17.7266
0.0000 0.0000 3.4027
0.0000 0.0000 7.1336
0.0000 0.0000 13.9390
0.0000 0.0000 17.6699
-1.3095 2.2681 5.2681
-2.5488 4.4147 15.8044
-1.2594 2.3968 12.2564
-2.4123 4.3938 1.7202
2.6190 0.0000 5.2681
1.3095 2.2681 15.8044
1.2594 2.3968 1.7202
-1.1530 6.5751 12.2564
2.7054 0.1078 19.3524
1.4460 2.2890 8.8161
2.4123 4.3938 12.2564
1.1530 6.5751 1.7202
5.0113 0.1078 8.8161
2.5990 4.2860 19.3524
5.0977 0.0000 15.8044
2.5488 4.4147 5.2681
6.2707 2.2890 19.3524
5.1177 4.2860 8.8161
```

Main lines, by intensity (15° ≤ 2θ ≤ 90°):
2θ 26.35, I = 1000
2θ 34.53, I = 383
2θ 40.49, I = 325
2θ 45.30, I = 225
2θ 48.96, I = 165
2θ 25.36, I = 136
2θ 67.98, I = 132
2θ 65.36, I = 127

=====

(8)
# Cu9Se4Cl6O14
Computed powder diffractogram, Cu Kα (weighted mean of Kα1 and Kα2). Input: a cell relaxed with GGA-PBE.
No peak broadening, texture or thermal motion is included.

```
Cu9Se4Cl6O14
1.0
7.7232 -3.1497 0.0000
7.7232 3.1497 0.0000
-6.9001 0.0000 11.5709
Cu Se Cl O
9 4 6 14
Cartesian
0.0000 0.0000 0.0000
0.4115 1.5749 5.7854
-0.1879 0.0000 3.2927
-2.0223 0.0000 8.8152
3.0269 0.0000 4.7290
0.4115 -1.5749 5.7854
5.5194 0.0000 6.8419
10.5685 0.0000 2.7557
8.7342 0.0000 8.2782
2.8282 0.0000 1.6391
2.3509 0.0000 8.0226
6.1953 0.0000 3.5483
5.7180 0.0000 9.9318
-5.1826 0.0000 10.0006
-1.8669 0.0000 6.5789
-1.4746 0.0000 10.9469
10.0208 0.0000 0.6240
10.4131 0.0000 4.9920
13.7288 0.0000 1.5702
3.0948 1.2165 2.8935
1.0900 0.0000 1.5801
1.2949 1.3058 7.5569
1.0778 0.0000 4.8609
7.2513 1.3058 4.0140
3.4821 0.0000 6.7046
5.4514 1.2165 8.6774
3.0948 -1.2165 2.8935
5.0641 0.0000 4.8663
1.2949 -1.3058 7.5569
7.4685 0.0000 6.7100
7.2513 -1.3058 4.0140
7.4563 0.0000 9.9908
5.4514 -1.2165 8.6774
```

Main lines, by intensity (15° ≤ 2θ ≤ 90°):
2θ 28.33, I = 1000
2θ 15.77, I = 927
2θ 24.88, I = 806
2θ 32.30, I = 595
2θ 36.26, I = 443
2θ 39.23, I = 420
2θ 34.94, I = 416
2θ 34.29, I = 403

=====

(9)
# AcTcH5
Computed powder diffractogram, Cu Kα (weighted mean of Kα1 and Kα2). Input: a cell relaxed with GGA-PBE.
No peak broadening, texture or thermal motion is included.

```
AcTcH5
1.0
-2.5842 2.9871 2.5427
2.5842 -2.9871 2.5427
2.5842 2.9871 -2.5427
Ac Tc H
1 1 5
Cartesian
0.0000 0.0000 0.0000
0.0000 2.9871 0.1395
2.5842 0.0000 0.9339
1.7220 2.9871 -0.0882
0.8622 0.0000 2.4546
0.0000 2.0321 1.5386
0.0000 3.9422 1.5386
```

Main lines, by intensity (15° ≤ 2θ ≤ 90°):
2θ 24.56, I = 1000
2θ 39.07, I = 605
2θ 29.91, I = 321
2θ 34.71, I = 216
2θ 35.30, I = 197
2θ 46.46, I = 188
2θ 46.93, I = 181
2θ 59.67, I = 175

=====

(10)
# AlHF
Computed powder diffractogram, Cu Kα (weighted mean of Kα1 and Kα2). Input: a cell relaxed with GGA-PBE.
No peak broadening, texture or thermal motion is included.

```
AlHF
1.0
4.2751 -2.3220 0.0000
4.2751 2.3220 0.0000
-2.2816 0.0000 4.0987
Al H F
2 2 2
Cartesian
1.0799 0.0000 0.6910
5.1886 0.0000 3.4077
2.4396 0.9110 0.3887
3.8289 0.9110 3.7100
1.4988 -1.1105 2.0489
4.7697 -1.1105 2.0498
```

Main lines, by intensity (15° ≤ 2θ ≤ 90°):
2θ 27.05, I = 1000
2θ 23.82, I = 841
2θ 23.14, I = 613
2θ 22.54, I = 382
2θ 41.13, I = 339
2θ 37.28, I = 297
2θ 44.86, I = 283
2θ 55.78, I = 245

=====

(11)
# Tb6PmTm5
Computed powder diffractogram, Cu Kα (weighted mean of Kα1 and Kα2). Input: a cell relaxed with GGA-PBE.
No peak broadening, texture or thermal motion is included.

```
Tb6PmTm5
1.0
3.0601 -5.3092 0.0000
3.0601 5.3092 0.0000
-2.0474 0.0000 11.5292
Tb Pm Tm
6 1 5
Cartesian
1.0151 1.7737 2.8614
-0.0081 0.0000 8.6640
1.0151 -1.7737 2.8614
3.0577 1.7737 8.6678
4.0809 0.0000 2.8652
3.0577 -1.7737 8.6678
2.0364 0.0000 5.7646
0.0000 0.0000 0.0000
2.0364 3.5383 5.7646
3.0601 1.7726 0.0000
3.0601 -1.7726 0.0000
2.0364 -3.5383 5.7646
```

Main lines, by intensity (15° ≤ 2θ ≤ 90°):
2θ 35.93, I = 1000
2θ 30.97, I = 990
2θ 31.01, I = 986
2θ 61.52, I = 634
2θ 51.70, I = 357
2θ 51.76, I = 355
2θ 87.27, I = 220
2θ 61.59, I = 210